Calculated PXRD pattern of Tm5AsSe4 for Cu Kα, from the PBE geometry in Alexandria.
Neutral-atom scattering factors, no anomalous dispersion.

Principal peaks in the range 2θ = 10–90°, by angle:
2θ/deg, d/Å, I (rel.)
27.13, 3.287, 36
31.38, 2.851, 100
31.53, 2.837, 50
45.07, 2.011, 92
55.89, 1.645, 20
74.50, 1.274, 25

Crystal structure
Lattice parameters (Å, degrees): 10.6494 10.6494 10.6494 158.14 149.10 38.17
Fractional coordinates of all 10 atoms:
Tm: 0.0000 0.0000 0.0000
Tm: 0.2007 0.2007 0.0000
Tm: 0.4034 0.4034 0.0000
Tm: 0.5966 0.5966 0.0000
Tm: 0.7993 0.7993 0.0000
As: 0.5000 0.0000 0.5000
Se: 0.1009 0.6009 0.5000
Se: 0.3006 0.8006 0.5000
Se: 0.6994 0.1994 0.5000
Se: 0.8991 0.3991 0.5000